Entry 1:
Structure and computed powder X-ray diffraction pattern of Ba8Nb7O24 (a PBE-relaxed structure; copper Kα).

The 8 most intense peaks (10 to 90 degrees two-theta), by angle:
| 2θ (°) | I_rel |
| --- | --- |
| 25.37 | 17 |
| 28.99 | 72 |
| 30.12 | 100 |
| 32.93 | 19 |
| 42.29 | 40 |
| 52.79 | 27 |
| 53.48 | 20 |
| 62.61 | 20 |

Cell and atoms:
```
Ba8Nb7O24
1.0
5.9350 0.0000 0.0000
-2.9675 5.1398 0.0000
0.0000 0.0000 19.2336
Ba Nb O
8 7 24
Direct
0.0000 0.0000 0.0000 Ba
0.0000 0.0000 0.2221 Ba
0.0000 0.0000 0.6167 Ba
0.3333 0.6667 0.3532 Ba
0.3333 0.6667 0.8718 Ba
0.6667 0.3333 0.1228 Ba
0.6667 0.3333 0.4997 Ba
0.6667 0.3333 0.7335 Ba
0.0000 0.0000 0.4270 Nb
0.0000 0.0000 0.8064 Nb
0.3333 0.6667 0.0649 Nb
0.3333 0.6667 0.5502 Nb
0.3333 0.6667 0.6857 Nb
0.6667 0.3333 0.3012 Nb
0.6667 0.3333 0.9309 Nb
0.0110 0.5055 0.6179 O
0.1635 0.3270 0.4945 O
0.1640 0.3281 0.7444 O
0.1635 0.8365 0.4945 O
0.1640 0.8360 0.7444 O
0.1697 0.3395 0.1088 O
0.1697 0.8303 0.1088 O
0.3285 0.1642 0.3751 O
0.3347 0.1673 0.8663 O
0.4945 0.5055 0.6179 O
0.4945 0.9890 0.6179 O
0.5033 0.0067 0.9881 O
0.5033 0.4967 0.9881 O
0.5098 0.0196 0.2508 O
0.5098 0.4902 0.2508 O
0.6605 0.8303 0.1088 O
0.6719 0.8360 0.7444 O
0.6730 0.8365 0.4945 O
0.8327 0.1673 0.8663 O
0.8327 0.6653 0.8663 O
0.8358 0.1642 0.3751 O
0.8358 0.6715 0.3751 O
0.9804 0.4902 0.2508 O
0.9933 0.4967 0.9881 O
```



Entry 2:
Structure and computed powder X-ray diffraction pattern of MnCr2S4 (a PBE-relaxed structure; copper Kα).

The 8 most intense peaks (10 to 90 degrees two-theta), by angle:
| 2θ (°) | I_rel |
| --- | --- |
| 15.59 | 48 |
| 17.54 | 52 |
| 34.60 | 67 |
| 44.41 | 100 |
| 44.95 | 64 |
| 45.55 | 32 |
| 54.63 | 33 |
| 55.46 | 41 |

Cell and atoms:
```
MnCr2S4
1.0
6.3031 -1.6799 0.0000
6.3031 1.6799 0.0000
-2.4707 0.0000 5.1525
Mn Cr S
1 2 4
Direct
0.0000 0.0000 0.0000 Mn
0.2563 0.2563 0.3121 Cr
0.7437 0.7437 0.6879 Cr
0.1172 0.1172 0.4618 S
0.3543 0.3543 0.0142 S
0.6457 0.6457 0.9858 S
0.8828 0.8828 0.5382 S
```



Entry 3:
Structure and computed powder X-ray diffraction pattern of RbPaF6 (a PBE-relaxed structure; copper Kα).

The 8 most intense peaks (10 to 90 degrees two-theta), by angle:
| 2θ (°) | I_rel |
| --- | --- |
| 12.29 | 42 |
| 14.72 | 100 |
| 19.22 | 21 |
| 25.35 | 36 |
| 28.89 | 32 |
| 29.43 | 59 |
| 39.00 | 19 |
| 39.42 | 34 |

Cell and atoms:
```
RbPaF6
1.0
4.0253 -6.0188 0.0000
4.0253 6.0188 0.0000
0.0000 0.0000 7.2033
Rb Pa F
2 2 12
Direct
0.2500 0.7500 0.9935 Rb
0.7500 0.2500 0.0065 Rb
0.0000 0.5000 0.5000 Pa
0.5000 0.0000 0.5000 Pa
0.0937 0.3824 0.7375 F
0.1176 0.4063 0.2625 F
0.1509 0.8491 0.5171 F
0.3491 0.6509 0.5171 F
0.3824 0.0937 0.2625 F
0.4063 0.1176 0.7375 F
0.5937 0.8824 0.2625 F
0.6176 0.9063 0.7375 F
0.6509 0.3491 0.4829 F
0.8491 0.1509 0.4829 F
0.8824 0.5937 0.7375 F
0.9063 0.6176 0.2625 F
```



Entry 4:
Structure and computed powder X-ray diffraction pattern of HoIn5Rh (a PBE-relaxed structure; copper Kα).

The 8 most intense peaks (10 to 90 degrees two-theta), by angle:
| 2θ (°) | I_rel |
| --- | --- |
| 19.06 | 10 |
| 29.60 | 30 |
| 35.67 | 14 |
| 36.20 | 100 |
| 38.67 | 52 |
| 53.62 | 17 |
| 55.84 | 17 |
| 68.37 | 41 |

Cell and atoms:
```
HoIn5Rh
1.0
4.6568 0.0000 0.0000
0.0000 4.6568 0.0000
0.0000 0.0000 7.5509
Ho In Rh
1 5 1
Direct
0.0000 0.0000 0.0000 Ho
0.0000 0.5000 0.3008 In
0.0000 0.5000 0.6992 In
0.5000 0.0000 0.3008 In
0.5000 0.0000 0.6992 In
0.5000 0.5000 0.0000 In
0.0000 0.0000 0.5000 Rh
```



Entry 5:
Structure and computed powder X-ray diffraction pattern of Rb2LiNb2Te2O12 (a PBE-relaxed structure; copper Kα).

The 8 most intense peaks (10 to 90 degrees two-theta), by angle:
| 2θ (°) | I_rel |
| --- | --- |
| 14.44 | 77 |
| 27.83 | 100 |
| 27.92 | 70 |
| 29.17 | 82 |
| 44.33 | 29 |
| 48.44 | 35 |
| 48.65 | 28 |
| 50.75 | 25 |

Cell and atoms:
```
Rb2LiNb2Te2O12
1.0
6.4763 -3.7549 0.0000
6.4763 3.7549 0.0000
-4.3179 0.0000 6.1527
Rb Li Nb Te O
2 1 2 2 12
Direct
0.0000 0.0000 0.0000 Rb
0.2202 0.2202 0.6407 Rb
0.8395 0.8395 0.4864 Li
0.0726 0.5664 0.1989 Nb
0.5664 0.0726 0.1989 Nb
0.5633 0.5633 0.7024 Te
0.5724 0.5724 0.2138 Te
0.2446 0.6332 0.5268 O
0.2564 0.2564 0.1470 O
0.2637 0.6367 0.1487 O
0.5015 0.5015 0.9021 O
0.5072 0.8863 0.8948 O
0.5191 0.8818 0.2904 O
0.6332 0.2446 0.5268 O
0.6367 0.2637 0.1487 O
0.6405 0.6405 0.5261 O
0.8818 0.5191 0.2904 O
0.8837 0.8837 0.2754 O
0.8863 0.5072 0.8948 O
```



Entry 6:
Structure and computed powder X-ray diffraction pattern of Ca2MnN2 (a PBE-relaxed structure; copper Kα).

The 8 most intense peaks (10 to 90 degrees two-theta), by angle:
| 2θ (°) | I_rel |
| --- | --- |
| 22.31 | 37 |
| 33.00 | 89 |
| 33.77 | 72 |
| 34.94 | 44 |
| 35.93 | 100 |
| 43.30 | 30 |
| 44.73 | 36 |
| 58.66 | 30 |

Cell and atoms:
```
Ca2MnN2
1.0
5.4631 -2.4992 0.0000
5.4631 2.4992 0.0000
-3.3910 0.0000 5.7177
Ca Mn N
4 2 4
Direct
0.0336 0.0336 0.2726 Ca
0.3190 0.3190 0.8879 Ca
0.6810 0.6810 0.1121 Ca
0.9664 0.9664 0.7274 Ca
0.3712 0.3712 0.3702 Mn
0.6288 0.6288 0.6298 Mn
0.1908 0.1908 0.1274 N
0.4858 0.4858 0.6965 N
0.5142 0.5142 0.3035 N
0.8092 0.8092 0.8726 N
```



Entry 7:
Structure and computed powder X-ray diffraction pattern of Cr8Fe3CuS16 (a PBE-relaxed structure; copper Kα).

The 8 most intense peaks (10 to 90 degrees two-theta), by angle:
| 2θ (°) | I_rel |
| --- | --- |
| 25.80 | 33 |
| 30.35 | 100 |
| 36.78 | 33 |
| 36.88 | 16 |
| 45.50 | 13 |
| 48.40 | 29 |
| 53.04 | 88 |
| 74.63 | 14 |

Cell and atoms:
```
Cr8Fe3CuS16
1.0
6.9119 0.0000 0.0000
0.0000 6.9119 0.0000
0.0000 0.0000 9.7490
Cr Fe Cu S
8 3 1 16
Direct
0.0000 0.2492 0.1255 Cr
0.0000 0.7508 0.1255 Cr
0.2492 0.0000 0.8745 Cr
0.2500 0.5000 0.3752 Cr
0.5000 0.2500 0.6248 Cr
0.5000 0.7500 0.6248 Cr
0.7500 0.5000 0.3752 Cr
0.7508 0.0000 0.8745 Cr
0.0000 0.5000 0.7495 Fe
0.5000 0.0000 0.2505 Fe
0.5000 0.5000 0.0000 Fe
0.0000 0.0000 0.5000 Cu
0.0000 0.2416 0.8767 S
0.0000 0.2679 0.3663 S
0.0000 0.7321 0.3663 S
0.0000 0.7584 0.8767 S
0.2352 0.5000 0.1307 S
0.2416 0.0000 0.1233 S
0.2559 0.5000 0.6210 S
0.2679 0.0000 0.6337 S
0.5000 0.2352 0.8693 S
0.5000 0.2559 0.3790 S
0.5000 0.7441 0.3790 S
0.5000 0.7648 0.8693 S
0.7321 0.0000 0.6337 S
0.7441 0.5000 0.6210 S
0.7584 0.0000 0.1233 S
0.7648 0.5000 0.1307 S
```



Entry 8:
Structure and computed powder X-ray diffraction pattern of Ti2ZnS4 (a PBE-relaxed structure; copper Kα).

The 8 most intense peaks (10 to 90 degrees two-theta), by angle:
| 2θ (°) | I_rel |
| --- | --- |
| 15.40 | 27 |
| 17.91 | 16 |
| 35.68 | 100 |
| 36.27 | 48 |
| 50.99 | 16 |
| 51.78 | 78 |
| 64.17 | 16 |
| 64.80 | 15 |

Cell and atoms:
```
Ti2ZnS4
1.0
-3.5348 3.5822 4.9534
3.5348 -3.5822 4.9534
3.5348 3.5822 -4.9534
Ti Zn S
4 2 8
Direct
0.0000 0.0000 0.0000 Ti
0.5000 0.0000 0.0000 Ti
0.5000 0.0000 0.5000 Ti
0.5000 0.5000 0.5000 Ti
0.0000 0.0000 0.5000 Zn
0.0000 0.5000 0.0000 Zn
0.2493 0.2412 0.4918 S
0.2493 0.7575 0.0082 S
0.2534 0.2489 0.0045 S
0.2555 0.7511 0.5045 S
0.7445 0.2489 0.4955 S
0.7466 0.7511 0.9955 S
0.7507 0.2425 0.9918 S
0.7507 0.7588 0.5082 S
```



Entry 9:
Structure and computed powder X-ray diffraction pattern of Ce3CI5 (a PBE-relaxed structure; copper Kα).

The 8 most intense peaks (10 to 90 degrees two-theta), by angle:
| 2θ (°) | I_rel |
| --- | --- |
| 27.61 | 100 |
| 28.84 | 73 |
| 29.00 | 73 |
| 39.95 | 28 |
| 40.16 | 28 |
| 40.76 | 57 |
| 41.28 | 22 |
| 41.43 | 23 |

Cell and atoms:
```
Ce3CI5
1.0
7.8903 0.0000 0.0000
-2.4620 9.4165 0.0000
-1.1149 -3.3387 9.1224
Ce C I
6 2 10
Direct
0.0330 0.2373 0.4246 Ce
0.1083 0.5401 0.2783 Ce
0.3818 0.6334 0.6797 Ce
0.6182 0.3666 0.3203 Ce
0.8917 0.4599 0.7217 Ce
0.9670 0.7627 0.5754 Ce
0.0892 0.5309 0.5418 C
0.9108 0.4691 0.4582 C
0.0894 0.8749 0.3180 I
0.1890 0.2274 0.1357 I
0.2578 0.5861 0.9650 I
0.3499 0.9586 0.7743 I
0.4546 0.3063 0.5944 I
0.5454 0.6937 0.4056 I
0.6501 0.0414 0.2257 I
0.7422 0.4139 0.0350 I
0.8110 0.7726 0.8643 I
0.9106 0.1251 0.6820 I
```